[1]
Theoretical powder diffraction line list of Ti5CuBi3 for CuKα, from a cell relaxed with GGA-PBE.
No peak broadening, texture or thermal motion is included.

Structural model:
abc: 8.3899 8.3899 5.5956
angles: 90.00 90.00 120.00
Space group P6_3/mcm (No. 193)
Symmetry-distinct sites (fractional):
Ti (0.0000, 0.2670, 0.2500) (multiplicity 6)
Ti (0.3333, 0.6667, 0.0000) (multiplicity 4)
Cu (0.0000, 0.0000, 0.0000) (multiplicity 2)
Bi (0.0000, 0.3809, 0.7500) (multiplicity 6)

Principal peaks in the range 5° ≤ 2θ ≤ 70°, low angle first:
two_theta, d [Å], I_rel, index
21.18, 4.195, 18, 1 1 0
24.50, 3.633, 19, 2 0 0
26.56, 3.356, 100, 1 1 1
31.99, 2.798, 26, 0 0 2
36.44, 2.465, 59, 2 1 1
37.12, 2.422, 73, 3 0 0
38.68, 2.328, 68, 1 1 2
46.22, 1.964, 19, 2 2 1
47.98, 1.896, 35, 3 1 1
49.80, 1.831, 19, 3 0 2

[2]
Theoretical powder diffraction line list of Zr5CuBi3 for CuKα, from a cell relaxed with GGA-PBE.
No peak broadening, texture or thermal motion is included.

Structural model:
abc: 8.8375 8.8375 5.9215
angles: 90.00 90.00 120.00
Space group P6_3/mcm (No. 193)
Symmetry-distinct sites (fractional):
Zr (0.0000, 0.2614, 0.2500) (multiplicity 6)
Zr (0.3333, 0.6667, 0.0000) (multiplicity 4)
Cu (0.0000, 0.0000, 0.0000) (multiplicity 2)
Bi (0.0000, 0.3846, 0.7500) (multiplicity 6)

Principal peaks in the range 5° ≤ 2θ ≤ 70°, low angle first:
two_theta, d [Å], I_rel, index
25.15, 3.541, 47, 1 1 1
30.19, 2.961, 27, 0 0 2
34.51, 2.599, 94, 2 1 1
35.18, 2.551, 92, 3 0 0
36.53, 2.460, 100, 1 1 2
45.39, 1.998, 39, 3 1 1
51.62, 1.771, 22, 2 2 2
56.44, 1.630, 23, 2 1 3
64.45, 1.446, 20, 3 1 3
66.55, 1.405, 23, 4 2 1

[3]
Theoretical powder diffraction line list of Zr6CuBi2 for CuKα, from a cell relaxed with GGA-PBE.
No peak broadening, texture or thermal motion is included.

Structural model:
abc: 7.8541 7.8541 3.8406
angles: 90.00 90.00 120.00
Space group P-62m (No. 189)
Symmetry-distinct sites (fractional):
Zr (0.0000, 0.3943, 0.0000) (multiplicity 3)
Zr (0.0000, 0.7625, 0.5000) (multiplicity 3)
Cu (0.0000, 0.0000, 0.0000) (multiplicity 1)
Bi (0.3333, 0.6667, 0.5000) (multiplicity 2)

Principal peaks in the range 5° ≤ 2θ ≤ 70°, low angle first:
two_theta, d [Å], I_rel, index
22.64, 3.927, 32, 1 1 0
32.61, 2.746, 100, 1 1 1
34.90, 2.571, 47, 2 1 0
35.25, 2.546, 70, 2 0 1
39.76, 2.267, 49, 3 0 0
42.31, 2.136, 48, 2 1 1
47.34, 1.920, 22, 0 0 2
63.49, 1.465, 25, 3 0 2
64.45, 1.446, 26, 3 2 1
67.67, 1.384, 25, 4 1 1

[4]
Theoretical powder diffraction line list of Dy3Bi for CuKα, from a cell relaxed with GGA-PBE.
No peak broadening, texture or thermal motion is included.

Structural model:
abc: 4.8656 4.8656 4.8656
angles: 90.00 90.00 90.00
Space group Pm-3m (No. 221)
Symmetry-distinct sites (fractional):
Dy (0.0000, 0.0000, 0.5000) (multiplicity 3)
Bi (0.5000, 0.5000, 0.5000) (multiplicity 1)

Principal peaks in the range 5° ≤ 2θ ≤ 70°, low angle first:
two_theta, d [Å], I_rel, index
18.23, 4.866, 1, 1 0 0
25.90, 3.440, 1, 1 1 0
31.86, 2.809, 100, 1 1 1
36.95, 2.433, 51, 2 0 0
41.50, 2.176, 1, 2 1 0
45.67, 1.986, 1, 2 1 1
53.25, 1.720, 36, 2 2 0
63.40, 1.467, 43, 3 1 1
66.58, 1.405, 12, 2 2 2

[5]
Theoretical powder diffraction line list of Dy5Bi3 for CuKα, from a cell relaxed with GGA-PBE.
No peak broadening, texture or thermal motion is included.

Structural model:
abc: 12.0785 9.4901 8.3306
angles: 90.00 90.00 90.00
Space group Pnma (No. 62)
Symmetry-distinct sites (fractional):
Dy (0.0046, 0.2500, 0.0240) (multiplicity 4)
Dy (0.0654, 0.0620, 0.6925) (multiplicity 8)
Dy (0.2088, 0.7500, 0.3431) (multiplicity 4)
Dy (0.2299, 0.2500, 0.3275) (multiplicity 4)
Bi (0.0244, 0.7500, 0.5978) (multiplicity 4)
Bi (0.1751, 0.5084, 0.0659) (multiplicity 8)

Principal peaks in the range 5° ≤ 2θ ≤ 70°, low angle first:
two_theta, d [Å], I_rel, index
29.48, 3.030, 100, 1 2 2
30.22, 2.957, 29, 0 3 1
30.89, 2.895, 30, 3 0 2
31.05, 2.880, 71, 3 2 1
31.51, 2.839, 64, 4 0 1
32.21, 2.779, 99, 2 2 2
33.10, 2.706, 38, 1 0 3
35.23, 2.548, 46, 4 2 0
37.93, 2.372, 49, 0 4 0
40.49, 2.228, 25, 2 2 3

[6]
Theoretical powder diffraction line list of Dy5Bi3 for CuKα, from a cell relaxed with GGA-PBE.
No peak broadening, texture or thermal motion is included.

Structural model:
abc: 8.2662 9.5473 12.0498
angles: 90.00 90.00 90.00
Space group Pnma (No. 62)
Symmetry-distinct sites (fractional):
Dy (0.0242, 0.2500, 0.0116) (multiplicity 4)
Dy (0.1474, 0.7500, 0.2852) (multiplicity 4)
Dy (0.1873, 0.2500, 0.2812) (multiplicity 4)
Dy (0.1929, 0.0635, 0.5583) (multiplicity 8)
Bi (0.0645, 0.0044, 0.8253) (multiplicity 8)
Bi (0.0926, 0.7500, 0.5433) (multiplicity 4)

Principal peaks in the range 5° ≤ 2θ ≤ 70°, low angle first:
two_theta, d [Å], I_rel, index
29.53, 3.025, 58, 2 2 1
31.04, 2.881, 100, 1 2 3
31.61, 2.830, 50, 1 0 4
32.27, 2.774, 70, 2 2 2
33.36, 2.686, 24, 3 0 1
35.23, 2.548, 21, 0 2 4
37.68, 2.387, 38, 0 4 0
40.66, 2.219, 24, 3 2 2
44.52, 2.035, 18, 4 0 1
59.70, 1.549, 33, 4 4 1

[7]
Theoretical powder diffraction line list of KEuDyBiO6 for CuKα, from a cell relaxed with GGA-PBE.
No peak broadening, texture or thermal motion is included.

Structural model:
abc: 8.6242 8.6327 8.6906
angles: 90.00 90.00 90.00
Space group Pnnn (No. 48, origin choice 2)
Symmetry-distinct sites (fractional):
K (0.2500, 0.2500, 0.2500) (multiplicity 2)
K (0.2500, 0.7500, 0.7500) (multiplicity 2)
Eu (0.2500, 0.2500, 0.7500) (multiplicity 2)
Eu (0.2500, 0.7500, 0.2500) (multiplicity 2)
Dy (0.0000, 0.0000, 0.0000) (multiplicity 4)
Bi (0.0000, 0.0000, 0.5000) (multiplicity 4)
O (0.0409, 0.0498, 0.7432) (multiplicity 8)
O (0.0470, 0.7422, 0.9626) (multiplicity 8)
O (0.2424, 0.0390, 0.4535) (multiplicity 8)

Principal peaks in the range 5° ≤ 2θ ≤ 70°, low angle first:
two_theta, d [Å], I_rel, index
14.46, 6.125, 11, 0 1 1
20.59, 4.314, 16, 2 0 0
29.17, 3.062, 100, 2 0 2
29.28, 3.051, 49, 2 2 0
41.57, 2.173, 13, 0 0 4
41.88, 2.157, 26, 4 0 0
51.65, 1.770, 23, 2 2 4
51.85, 1.763, 46, 2 4 2
60.48, 1.531, 16, 4 0 4
68.77, 1.365, 14, 0 6 2

[8]
Theoretical powder diffraction line list of KEuDyBiO6 for CuKα, from a cell relaxed with GGA-PBE.
No peak broadening, texture or thermal motion is included.

Structural model:
abc: 8.6486 8.6486 8.6486
angles: 90.00 90.00 90.00
Space group F-43m (No. 216)
Symmetry-distinct sites (fractional):
K (0.0000, 0.0000, 0.0000) (multiplicity 4)
Eu (0.0000, 0.0000, 0.5000) (multiplicity 4)
Dy (0.2500, 0.2500, 0.7500) (multiplicity 4)
Bi (0.2500, 0.2500, 0.2500) (multiplicity 4)
O (0.0058, 0.2500, 0.2500) (multiplicity 24)

Principal peaks in the range 5° ≤ 2θ ≤ 70°, low angle first:
two_theta, d [Å], I_rel, index
17.76, 4.993, 11, 1 1 1
20.54, 4.324, 18, 2 0 0
29.21, 3.058, 100, 2 2 0
34.39, 2.608, 7, 3 1 1
41.78, 2.162, 30, 4 0 0
46.99, 1.934, 9, 4 2 0
51.79, 1.765, 42, 4 2 2
60.56, 1.529, 19, 4 4 0
64.66, 1.441, 4, 6 0 0
68.63, 1.367, 18, 6 2 0